1.
Structure and calculated powder XRD pattern of Tm4Cu2Sn (the GGA-PBE geometry in Alexandria; λ = 1.5418 Å (Cu Kα)).
Intensities are scaled so that the largest is 100.

Largest 12 diffraction maxima, in order of rising 2θ, 2θ from 15° to 90°:
- 19.2 deg, I = 44
- 27.1 deg, I = 27
- 27.3 deg, I = 30
- 28.2 deg, I = 51
- 30.7 deg, I = 82
- 32.6 deg, I = 100
- 36.3 deg, I = 48
- 36.6 deg, I = 45
- 38.9 deg, I = 32
- 52.6 deg, I = 40
- 59.3 deg, I = 23
- 59.9 deg, I = 20

Atomic structure:
```
data_Tm4Cu2Sn
_symmetry_space_group_name_H-M 'P 1'
_symmetry_Int_Tables_number 1
_cell_length_a 9.2686
_cell_length_b 7.8720
_cell_length_c 7.8273
_cell_angle_alpha 72.37
_cell_angle_beta 54.04
_cell_angle_gamma 53.59
loop_
_symmetry_equiv_pos_as_xyz
'x,y,z'
loop_
_atom_site_label
_atom_site_type_symbol
_atom_site_fract_x
_atom_site_fract_y
_atom_site_fract_z
Tm1 Tm 0.1293 0.2969 0.3005
Tm2 Tm 0.2267 0.6995 0.7031
Tm3 Tm 0.2969 0.1293 0.7733
Tm4 Tm 0.3005 0.7733 0.1293
Tm5 Tm 0.6995 0.2267 0.8707
Tm6 Tm 0.7031 0.8707 0.2267
Tm7 Tm 0.7733 0.3005 0.2969
Tm8 Tm 0.8707 0.7031 0.6995
Cu1 Cu 0.0000 0.0000 0.0000
Cu2 Cu 0.0000 0.0000 0.5000
Cu3 Cu 0.0000 0.5000 0.0000
Cu4 Cu 0.5000 0.0000 0.0000
Sn1 Sn 0.3750 0.3750 0.3750
Sn2 Sn 0.6250 0.6250 0.6250
```

2.
Structure and calculated powder XRD pattern of CeDyZnCd (the GGA-PBE geometry in Alexandria; λ = 1.5418 Å (Cu Kα)).
Intensities are scaled so that the largest is 100.

Largest 12 diffraction maxima, in order of rising 2θ, 2θ from 15° to 90°:
- 24.9 deg, I = 6
- 27.4 deg, I = 5
- 33.9 deg, I = 100
- 35.5 deg, I = 47
- 46.3 deg, I = 9
- 51.1 deg, I = 16
- 59.7 deg, I = 16
- 62.8 deg, I = 33
- 71.4 deg, I = 9
- 77.7 deg, I = 5
- 85.1 deg, I = 7
- 86.1 deg, I = 7

Atomic structure:
```
data_CeDyZnCd
_symmetry_space_group_name_H-M 'P 1'
_symmetry_Int_Tables_number 1
_cell_length_a 3.5725
_cell_length_b 3.5725
_cell_length_c 7.8486
_cell_angle_alpha 90.00
_cell_angle_beta 90.00
_cell_angle_gamma 90.00
loop_
_symmetry_equiv_pos_as_xyz
'x,y,z'
loop_
_atom_site_label
_atom_site_type_symbol
_atom_site_fract_x
_atom_site_fract_y
_atom_site_fract_z
Ce1 Ce 0.0000 0.0000 0.0000
Dy1 Dy 0.0000 0.0000 0.4586
Zn1 Zn 0.5000 0.5000 0.2436
Cd1 Cd 0.5000 0.5000 0.7150
```

3.
Structure and calculated powder XRD pattern of Cs2ZrPbO4 (the GGA-PBE geometry in Alexandria; λ = 1.5418 Å (Cu Kα)).
Intensities are scaled so that the largest is 100.

Largest 12 diffraction maxima, in order of rising 2θ, 2θ from 15° to 90°:
- 25.1 deg, I = 27
- 27.2 deg, I = 33
- 28.1 deg, I = 100
- 28.6 deg, I = 9
- 37.4 deg, I = 25
- 42.8 deg, I = 12
- 46.1 deg, I = 14
- 48.7 deg, I = 26
- 50.3 deg, I = 10
- 51.5 deg, I = 12
- 52.4 deg, I = 13
- 58.1 deg, I = 13

Atomic structure:
```
data_Cs2ZrPbO4
_symmetry_space_group_name_H-M 'P 1'
_symmetry_Int_Tables_number 1
_cell_length_a 6.5515
_cell_length_b 8.4484
_cell_length_c 7.0945
_cell_angle_alpha 90.00
_cell_angle_beta 90.00
_cell_angle_gamma 90.00
loop_
_symmetry_equiv_pos_as_xyz
'x,y,z'
loop_
_atom_site_label
_atom_site_type_symbol
_atom_site_fract_x
_atom_site_fract_y
_atom_site_fract_z
Cs1 Cs 0.2500 0.0077 0.2215
Cs2 Cs 0.2500 0.4923 0.2215
Cs3 Cs 0.7500 0.5077 0.7785
Cs4 Cs 0.7500 0.9923 0.7785
Zr1 Zr 0.2500 0.7500 0.6521
Zr2 Zr 0.7500 0.2500 0.3479
Pb1 Pb 0.2500 0.2500 0.7249
Pb2 Pb 0.7500 0.7500 0.2751
O1 O 0.0011 0.2500 0.5124
O2 O 0.2500 0.5538 0.8032
O3 O 0.2500 0.9462 0.8032
O4 O 0.4989 0.2500 0.5124
O5 O 0.5011 0.7500 0.4876
O6 O 0.7500 0.0538 0.1968
O7 O 0.7500 0.4462 0.1968
O8 O 0.9989 0.7500 0.4876
```

4.
Structure and calculated powder XRD pattern of Sr5PrTl6 (the GGA-PBE geometry in Alexandria; λ = 1.5418 Å (Cu Kα)).
Intensities are scaled so that the largest is 100.

Largest 12 diffraction maxima, in order of rising 2θ, 2θ from 15° to 90°:
- 21.8 deg, I = 14
- 21.9 deg, I = 7
- 31.0 deg, I = 100
- 31.1 deg, I = 50
- 44.3 deg, I = 9
- 44.5 deg, I = 9
- 44.6 deg, I = 9
- 55.1 deg, I = 10
- 55.2 deg, I = 20
- 55.4 deg, I = 29
- 64.8 deg, I = 9
- 73.8 deg, I = 8

Atomic structure:
```
data_Sr5PrTl6
_symmetry_space_group_name_H-M 'P 1'
_symmetry_Int_Tables_number 1
_cell_length_a 5.7576
_cell_length_b 8.1188
_cell_length_c 9.1147
_cell_angle_alpha 90.00
_cell_angle_beta 108.17
_cell_angle_gamma 90.00
loop_
_symmetry_equiv_pos_as_xyz
'x,y,z'
loop_
_atom_site_label
_atom_site_type_symbol
_atom_site_fract_x
_atom_site_fract_y
_atom_site_fract_z
Sr1 Sr 0.0000 0.0000 0.0000
Sr2 Sr 0.3305 0.5000 0.6615
Sr3 Sr 0.3314 0.0000 0.6633
Sr4 Sr 0.6686 0.0000 0.3367
Sr5 Sr 0.6695 0.5000 0.3385
Pr1 Pr 0.0000 0.5000 0.0000
Tl1 Tl 0.1616 0.2566 0.3236
Tl2 Tl 0.1616 0.7434 0.3236
Tl3 Tl 0.5000 0.2600 0.0000
Tl4 Tl 0.5000 0.7400 0.0000
Tl5 Tl 0.8384 0.2566 0.6764
Tl6 Tl 0.8384 0.7434 0.6764
```

5.
Structure and calculated powder XRD pattern of Na4Mg3 (the GGA-PBE geometry in Alexandria; λ = 1.5418 Å (Cu Kα)).
Intensities are scaled so that the largest is 100.

Largest 12 diffraction maxima, in order of rising 2θ, 2θ from 15° to 90°:
- 27.5 deg, I = 16
- 29.0 deg, I = 36
- 32.1 deg, I = 57
- 32.3 deg, I = 100
- 33.6 deg, I = 47
- 36.4 deg, I = 76
- 51.7 deg, I = 14
- 53.5 deg, I = 44
- 54.7 deg, I = 22
- 60.0 deg, I = 23
- 69.8 deg, I = 18
- 84.5 deg, I = 15

Atomic structure:
```
data_Na4Mg3
_symmetry_space_group_name_H-M 'P 1'
_symmetry_Int_Tables_number 1
_cell_length_a 6.1673
_cell_length_b 6.1673
_cell_length_c 6.4779
_cell_angle_alpha 90.00
_cell_angle_beta 90.00
_cell_angle_gamma 120.00
loop_
_symmetry_equiv_pos_as_xyz
'x,y,z'
loop_
_atom_site_label
_atom_site_type_symbol
_atom_site_fract_x
_atom_site_fract_y
_atom_site_fract_z
Na1 Na 0.0000 0.0000 0.2493
Na2 Na 0.0000 0.0000 0.7507
Na3 Na 0.3333 0.6667 0.5000
Na4 Na 0.6667 0.3333 0.5000
Mg1 Mg 0.0000 0.5000 0.0000
Mg2 Mg 0.5000 0.0000 0.0000
Mg3 Mg 0.5000 0.5000 0.0000
```

6.
Structure and calculated powder XRD pattern of LaPd3Au6 (the GGA-PBE geometry in Alexandria; λ = 1.5418 Å (Cu Kα)).
Intensities are scaled so that the largest is 100.

Largest 12 diffraction maxima, in order of rising 2θ, 2θ from 15° to 90°:
- 19.2 deg, I = 24
- 33.3 deg, I = 25
- 35.7 deg, I = 21
- 36.1 deg, I = 17
- 38.2 deg, I = 54
- 38.6 deg, I = 26
- 39.0 deg, I = 100
- 39.9 deg, I = 21
- 40.5 deg, I = 41
- 41.9 deg, I = 40
- 42.6 deg, I = 24
- 51.7 deg, I = 17

Atomic structure:
```
data_LaPd3Au6
_symmetry_space_group_name_H-M 'P 1'
_symmetry_Int_Tables_number 1
_cell_length_a 5.5521
_cell_length_b 5.7496
_cell_length_c 6.8370
_cell_angle_alpha 96.14
_cell_angle_beta 107.66
_cell_angle_gamma 106.84
loop_
_symmetry_equiv_pos_as_xyz
'x,y,z'
loop_
_atom_site_label
_atom_site_type_symbol
_atom_site_fract_x
_atom_site_fract_y
_atom_site_fract_z
La1 La 0.0000 0.0000 0.0000
Pd1 Pd 0.3036 0.9049 0.7519
Pd2 Pd 0.6582 0.2793 0.1151
Pd3 Pd 0.7402 0.6201 0.4922
Au1 Au 0.1770 0.5822 0.3674
Au2 Au 0.4397 0.4536 0.7640
Au3 Au 0.4644 0.1133 0.4421
Au4 Au 0.4993 0.7579 0.1309
Au5 Au 0.9644 0.1069 0.4626
Au6 Au 0.9694 0.4646 0.8506
```

7.
Structure and calculated powder XRD pattern of Cs2Cu2SnSe6 (the GGA-PBE geometry in Alexandria; λ = 1.5418 Å (Cu Kα)).
Intensities are scaled so that the largest is 100.

Largest 12 diffraction maxima, in order of rising 2θ, 2θ from 15° to 90°:
- 22.6 deg, I = 66
- 23.5 deg, I = 83
- 24.3 deg, I = 60
- 29.2 deg, I = 84
- 32.0 deg, I = 100
- 34.1 deg, I = 34
- 40.7 deg, I = 22
- 41.8 deg, I = 49
- 42.3 deg, I = 82
- 49.8 deg, I = 57
- 55.4 deg, I = 28
- 55.8 deg, I = 25

Atomic structure:
```
data_Cs2Cu2SnSe6
_symmetry_space_group_name_H-M 'P 1'
_symmetry_Int_Tables_number 1
_cell_length_a 8.9440
_cell_length_b 8.9440
_cell_length_c 8.9440
_cell_angle_alpha 48.30
_cell_angle_beta 48.30
_cell_angle_gamma 48.30
loop_
_symmetry_equiv_pos_as_xyz
'x,y,z'
loop_
_atom_site_label
_atom_site_type_symbol
_atom_site_fract_x
_atom_site_fract_y
_atom_site_fract_z
Cs1 Cs 0.2233 0.2233 0.2233
Cs2 Cs 0.7767 0.7767 0.7767
Cu1 Cu 0.4002 0.4002 0.4002
Cu2 Cu 0.5998 0.5998 0.5998
Sn1 Sn 0.0000 0.0000 0.0000
Se1 Se 0.2271 0.7655 0.7655
Se2 Se 0.2345 0.2345 0.7729
Se3 Se 0.2345 0.7729 0.2345
Se4 Se 0.7655 0.2271 0.7655
Se5 Se 0.7655 0.7655 0.2271
Se6 Se 0.7729 0.2345 0.2345
```